Starting from a cell relaxed with GGA-PBE, the powder diffraction line list of Y2Sc4Ni3N3 was calculated for CuKα.

Structure:
```
data_Y2Sc4Ni3N3
_chemical_formula_sum 'Y4 Sc8 Ni6 N6'
_cell_length_a 5.583
_cell_length_b 5.583
_cell_length_c 13.702
_cell_angle_alpha 102.15
_cell_angle_beta 102.15
_cell_angle_gamma 59.98
_symmetry_space_group_name_H-M 'P 1'
_symmetry_Int_Tables_number 1
_symmetry_space_group_name_Hall 'P 1'
loop_
_atom_site_label
_atom_site_type_symbol
_atom_site_fract_x
_atom_site_fract_y
_atom_site_fract_z
Y1 Y 0.041 0.874 0.619
Y2 Y 0.126 0.959 0.881
Y3 Y 0.874 0.041 0.119
Y4 Y 0.959 0.126 0.381
Sc1 Sc 0.197 0.361 0.090
Sc2 Sc 0.299 0.474 0.410
Sc3 Sc 0.361 0.197 0.590
Sc4 Sc 0.474 0.299 0.910
Sc5 Sc 0.526 0.701 0.090
Sc6 Sc 0.639 0.803 0.410
Sc7 Sc 0.701 0.526 0.590
Sc8 Sc 0.803 0.639 0.910
Ni1 Ni 0.085 0.411 0.750
Ni2 Ni 0.411 0.085 0.250
Ni3 Ni 0.417 0.583 0.250
Ni4 Ni 0.583 0.417 0.750
Ni5 Ni 0.589 0.915 0.750
Ni6 Ni 0.915 0.589 0.250
N1 N 0.000 0.500 0.500
N2 N 0.170 0.661 0.000
N3 N 0.339 0.830 0.500
N4 N 0.500 0.000 0.000
N5 N 0.661 0.170 0.500
N6 N 0.830 0.339 0.000
```

Main lines, sorted by position (2θ = 10–90°):
32.8 deg, intensity 64; 37.3 deg, intensity 53; 38.0 deg, intensity 91; 38.1 deg, intensity 91; 38.2 deg, intensity 100; 40.7 deg, intensity 50